This entry pairs a crystal structure of TbVBrO4 with its theoretical XRD peak list. Radiation: Cu Ka. Structure: a DFT-relaxed cell (GGA+U, Alexandria).
No peak broadening, texture or thermal motion is included.

Top 8 peaks for 5° ≤ 2θ ≤ 70°, most intense first:
26.95 deg, intensity 100, hkl 3 1 0
28.00 deg, intensity 57, hkl 0 2 0
21.89 deg, intensity 42, hkl 1 1 1
17.92 deg, intensity 33, hkl 2 0 -1
29.83 deg, intensity 28, hkl 1 1 -2
32.50 deg, intensity 24, hkl 3 1 1
27.74 deg, intensity 24, hkl 3 1 -1
34.45 deg, intensity 19, hkl 3 1 -2

Structure:
```
data_TbVBrO4
_chemical_formula_sum 'Tb4 V4 Br4 O16'
_cell_length_a 11.907
_cell_length_b 6.374
_cell_length_c 6.800
_cell_angle_alpha 90.00
_cell_angle_beta 102.97
_cell_angle_gamma 90.00
_space_group_name_H-M_alt 'C 1 2/m 1'
_space_group_IT_number 12
_space_group_name_Hall '-C 2y'
loop_
_atom_site_label
_atom_site_type_symbol
_atom_site_fract_x
_atom_site_fract_y
_atom_site_fract_z
Tb1 Tb 0.206 0.000 0.341
V1 V 0.132 0.000 0.759
Br1 Br 0.024 0.500 0.174
O1 O 0.014 0.000 0.268
O2 O 0.178 0.211 0.624
O3 O 0.199 0.000 0.009
```